# 1
For Ce4ZnIr2, a GGA-PBE-relaxed structure gives the theoretical X-ray diffraction stick pattern in this record (Cu Ka).
No peak broadening, texture or thermal motion is included.

Structure:
Unit cell a=7.963 b=7.297 c=8.966 alpha=57.54 beta=50.64 gamma=71.82
Element x y z (fractional)
Ce  0.076  0.214  0.042
Ce  0.208  0.582  0.174
Ce  0.214  0.076  0.668
Ce  0.327  0.673  0.432
Ce  0.582  0.208  0.036
Ce  0.673  0.327  0.568
Ce  0.682  0.818  0.577
Ce  0.818  0.682  0.923
Zn  0.074  0.074  0.426
Zn  0.824  0.824  0.176
Ir  0.305  0.593  0.798
Ir  0.452  0.947  0.945
Ir  0.593  0.305  0.303
Ir  0.947  0.452  0.657

Most intense lines, 2θ from 10° to 90°, low angle first:
2theta	I/Imax
14.40	206
30.56	450
31.96	845
33.09	1000
35.80	321
37.29	235
38.28	231
39.67	208
40.05	246
66.83	192

=====

# 2
For CeZn20Ir2, a GGA-PBE-relaxed structure gives the theoretical X-ray diffraction stick pattern in this record (Cu Ka).
No peak broadening, texture or thermal motion is included.

Structure:
Unit cell a=10.101 b=10.101 c=10.101 alpha=60.00 beta=60.00 gamma=60.00
Element x y z (fractional)
Ce  0.125  0.125  0.125
Ce  0.875  0.875  0.875
Zn  0.000  0.000  0.000
Zn  0.000  0.000  0.500
Zn  0.000  0.500  0.000
Zn  0.056  0.323  0.323
Zn  0.056  0.323  0.797
Zn  0.056  0.797  0.323
Zn  0.203  0.677  0.677
Zn  0.203  0.677  0.944
Zn  0.203  0.944  0.677
Zn  0.236  0.236  0.514
Zn  0.236  0.514  0.236
Zn  0.236  0.514  0.514
Zn  0.323  0.056  0.323
Zn  0.323  0.056  0.797
Zn  0.323  0.323  0.056
Zn  0.323  0.323  0.797
Zn  0.323  0.797  0.056
Zn  0.323  0.797  0.323
Zn  0.486  0.486  0.764
Zn  0.486  0.764  0.486
Zn  0.486  0.764  0.764
Zn  0.500  0.000  0.000
Zn  0.514  0.236  0.236
Zn  0.514  0.236  0.514
Zn  0.514  0.514  0.236
Zn  0.677  0.203  0.677
Zn  0.677  0.203  0.944
Zn  0.677  0.677  0.203
Zn  0.677  0.677  0.944
Zn  0.677  0.944  0.203
Zn  0.677  0.944  0.677
Zn  0.764  0.486  0.486
Zn  0.764  0.486  0.764
Zn  0.764  0.764  0.486
Zn  0.797  0.056  0.323
Zn  0.797  0.323  0.056
Zn  0.797  0.323  0.323
Zn  0.944  0.203  0.677
Zn  0.944  0.677  0.203
Zn  0.944  0.677  0.677
Ir  0.000  0.500  0.500
Ir  0.500  0.000  0.500
Ir  0.500  0.500  0.000
Ir  0.500  0.500  0.500

Most intense lines, 2θ from 10° to 90°, low angle first:
2theta	I/Imax
20.62	354
35.55	324
37.24	318
39.91	308
41.45	750
41.95	1000
43.91	265
45.34	328
68.23	267
75.26	394

=====

# 3
For Ce3Zn8Ir, a GGA-PBE-relaxed structure gives the theoretical X-ray diffraction stick pattern in this record (Cu Ka).
No peak broadening, texture or thermal motion is included.

Structure:
Unit cell a=9.270 b=9.270 c=9.270 alpha=33.57 beta=33.57 gamma=33.57
Element x y z (fractional)
Ce  0.000  0.000  0.000
Ce  0.126  0.126  0.126
Ce  0.502  0.502  0.502
Zn  0.052  0.563  0.563
Zn  0.065  0.065  0.567
Zn  0.065  0.567  0.065
Zn  0.312  0.312  0.312
Zn  0.563  0.052  0.563
Zn  0.563  0.563  0.052
Zn  0.567  0.065  0.065
Zn  0.814  0.814  0.814
Ir  0.633  0.633  0.633

Most intense lines, 2θ from 10° to 90°, low angle first:
2theta	I/Imax
20.32	80
33.48	560
39.48	1000
41.32	188
59.85	209
63.90	303
70.35	226
80.19	89
83.79	103
84.99	62

=====

# 4
For Ce3Zn2Ir3, a GGA-PBE-relaxed structure gives the theoretical X-ray diffraction stick pattern in this record (Cu Ka).
No peak broadening, texture or thermal motion is included.

Structure:
Unit cell a=6.470 b=6.470 c=13.646 alpha=90.00 beta=90.00 gamma=144.58
Element x y z (fractional)
Ce  0.072  0.928  0.613
Ce  0.072  0.928  0.887
Ce  0.346  0.654  0.750
Ce  0.654  0.346  0.250
Ce  0.928  0.072  0.113
Ce  0.928  0.072  0.387
Zn  0.232  0.768  0.075
Zn  0.232  0.768  0.425
Zn  0.768  0.232  0.575
Zn  0.768  0.232  0.925
Ir  0.337  0.663  0.250
Ir  0.402  0.598  0.552
Ir  0.402  0.598  0.948
Ir  0.598  0.402  0.052
Ir  0.598  0.402  0.448
Ir  0.663  0.337  0.750

Most intense lines, 2θ from 10° to 90°, low angle first:
2theta	I/Imax
28.98	225
31.48	360
32.17	500
34.17	209
35.58	696
35.99	242
37.31	1000
39.63	265
45.40	232
46.13	892